# 1
Diffraction record for CuSb5Mo3. The XRD peak list is theoretical, not measured: it uses a GGA-PBE-relaxed structure and Cu Kα (λ = 1.5418 Å).
Neutral-atom scattering factors, no anomalous dispersion.

Main lines, by angle (15° ≤ 2θ ≤ 90°):
- 2θ 28.5, intensity 52, hkl 1 0 2
- 2θ 32.4, intensity 98, hkl 0 0 3
- 2θ 37.6, intensity 20, hkl 2 0 0
- 2θ 39.2, intensity 65, hkl 2 0 1
- 2θ 43.7, intensity 100, hkl 0 0 4
- 2θ 55.5, intensity 26, hkl 1 1 4
- 2θ 67.9, intensity 27, hkl 2 2 0
- 2θ 84.3, intensity 35, hkl 2 2 4

Structural model:
```
data_CuSb5Mo3
_cell_length_a 5.5220
_cell_length_b 5.5220
_cell_length_c 8.2772
_cell_angle_alpha 90.00
_cell_angle_beta 90.00
_cell_angle_gamma 120.00
_symmetry_space_group_name_H-M 'P 6/m m m'
_symmetry_Int_Tables_number 191
_symmetry_space_group_name_Hall '-P 6 2'
loop_
_atom_site_label
_atom_site_fract_x
_atom_site_fract_y
_atom_site_fract_z
_atom_site_occupancy
Cu1 0.0000 0.0000 0.0000 1
Sb1 0.0000 0.0000 0.5000 1
Sb2 0.3333 0.6667 0.2096 1
Mo1 0.0000 0.5000 0.5000 1
```

***

# 2
Diffraction record for Hf2Be. The XRD peak list is theoretical, not measured: it uses a GGA-PBE-relaxed structure and Cu Kα (λ = 1.5418 Å).
Neutral-atom scattering factors, no anomalous dispersion.

Main lines, by angle (15° ≤ 2θ ≤ 90°):
- 2θ 19.5, intensity 100, hkl 1 1 1
- 2θ 37.9, intensity 63, hkl 3 1 1
- 2θ 39.6, intensity 71, hkl 2 2 2
- 2θ 46.1, intensity 34, hkl 4 0 0
- 2θ 50.5, intensity 26, hkl 3 3 1
- 2θ 61.1, intensity 21, hkl 5 1 1
- 2θ 67.2, intensity 24, hkl 4 4 0
- 2θ 80.9, intensity 27, hkl 6 2 2

Structural model:
a = 7.8818 Å, b = 7.8818 Å, c = 7.8818 Å
α = 90.00°, β = 90.00°, γ = 90.00°
Space group Fd-3m (No. 227, origin choice 2)
Unique sites:
Hf: 0.0000 0.0000 0.0000
Be: 0.1250 0.1250 0.6250

***

# 3
Diffraction record for MgCdP4Pd2. The XRD peak list is theoretical, not measured: it uses a GGA-PBE-relaxed structure and Cu Kα (λ = 1.5418 Å).
Neutral-atom scattering factors, no anomalous dispersion.

Main lines, by angle (15° ≤ 2θ ≤ 90°):
- 2θ 17.6, intensity 19, hkl 1 0 1
- 2θ 27.5, intensity 100, hkl 1 1 2
- 2θ 31.6, intensity 14, hkl 2 0 0
- 2θ 45.2, intensity 18, hkl 2 2 0
- 2θ 45.8, intensity 37, hkl 2 0 4
- 2θ 53.7, intensity 29, hkl 3 1 2
- 2θ 54.7, intensity 14, hkl 1 1 6
- 2θ 73.6, intensity 11, hkl 1 3 6

Structural model:
```
data_MgCdP4Pd2
_cell_length_a 5.6688
_cell_length_b 5.6688
_cell_length_c 11.0936
_cell_angle_alpha 90.00
_cell_angle_beta 90.00
_cell_angle_gamma 90.00
_symmetry_space_group_name_H-M 'I -4'
_symmetry_Int_Tables_number 82
loop_
_symmetry_equiv_pos_as_xyz
'x,y,z'
'y,-x,-z'
'-x,-y,z'
'-y,x,-z'
'x+1/2,y+1/2,z+1/2'
'y+1/2,-x+1/2,-z+1/2'
'-x+1/2,-y+1/2,z+1/2'
'-y+1/2,x+1/2,-z+1/2'
loop_
_atom_site_label
_atom_site_fract_x
_atom_site_fract_y
_atom_site_fract_z
_atom_site_occupancy
Mg1 0.0000 0.0000 0.0000 1
Cd1 0.0000 0.5000 0.7500 1
P1 0.2060 0.7477 0.3762 1
Pd1 0.0000 0.0000 0.5000 1
Pd2 0.0000 0.5000 0.2500 1
```

***

# 4
Diffraction record for Ba2TlPdO6. The XRD peak list is theoretical, not measured: it uses a GGA-PBE-relaxed structure and Cu Kα (λ = 1.5418 Å).
Neutral-atom scattering factors, no anomalous dispersion.

Main lines, by angle (15° ≤ 2θ ≤ 90°):
- 2θ 28.6, intensity 74, hkl 2 0 0
- 2θ 29.5, intensity 21, hkl 1 0 2
- 2θ 30.6, intensity 83, hkl 1 2 -1
- 2θ 31.0, intensity 100, hkl 1 2 1
- 2θ 37.7, intensity 24, hkl 1 2 -2
- 2θ 49.2, intensity 21, hkl 0 4 0
- 2θ 51.7, intensity 24, hkl 3 2 -1
- 2θ 57.9, intensity 22, hkl 2 4 0

Structural model:
```
data_Ba2TlPdO6
_cell_length_a 6.2420
_cell_length_b 7.4074
_cell_length_c 7.0669
_cell_angle_alpha 90.00
_cell_angle_beta 91.84
_cell_angle_gamma 90.00
_symmetry_space_group_name_H-M 'P 1 21 1'
_symmetry_Int_Tables_number 4
loop_
_symmetry_equiv_pos_as_xyz
'x,y,z'
'-x,y+1/2,-z'
loop_
_atom_site_label
_atom_site_fract_x
_atom_site_fract_y
_atom_site_fract_z
_atom_site_occupancy
Ba1 0.2346 0.0000 0.3032 1
Ba2 0.2578 0.1926 0.8275 1
Tl1 0.2446 0.4721 0.3675 1
Pd1 0.2588 0.7495 0.6841 1
O1 0.0079 0.7349 0.4843 1
O2 0.0221 0.4249 0.0551 1
O3 0.0464 0.7436 0.8949 1
O4 0.4597 0.9161 0.0193 1
O5 0.4845 0.7380 0.4772 1
O6 0.4893 0.3042 0.1401 1
```

***

# 5
Diffraction record for NaNb3O8. The XRD peak list is theoretical, not measured: it uses a GGA-PBE-relaxed structure and Cu Kα (λ = 1.5418 Å).
Neutral-atom scattering factors, no anomalous dispersion.

Main lines, by angle (15° ≤ 2θ ≤ 90°):
- 2θ 25.1, intensity 48, hkl 1 0 1
- 2θ 27.0, intensity 100, hkl 0 2 2
- 2θ 31.2, intensity 24, hkl 1 1 2
- 2θ 32.4, intensity 29, hkl 1 2 1
- 2θ 35.8, intensity 18, hkl 0 0 4
- 2θ 41.0, intensity 27, hkl 0 3 3
- 2θ 47.9, intensity 19, hkl 2 0 0
- 2θ 53.9, intensity 27, hkl 1 3 4

Structural model:
```
data_NaNb3O8
_cell_length_a 3.7997
_cell_length_b 8.7930
_cell_length_c 10.0176
_cell_angle_alpha 90.00
_cell_angle_beta 90.00
_cell_angle_gamma 90.00
_symmetry_space_group_name_H-M 'P m m n'
_symmetry_Int_Tables_number 59
loop_
_symmetry_equiv_pos_as_xyz
'x,y,z'
'-x,-y,-z'
'-x+1/2,-y+1/2,z'
'x+1/2,y+1/2,-z'
'x+1/2,-y,-z'
'-x+1/2,y,z'
'-x,y+1/2,-z'
'x,-y+1/2,z'
loop_
_atom_site_label
_atom_site_fract_x
_atom_site_fract_y
_atom_site_fract_z
_atom_site_occupancy
Na1 0.2500 0.2500 0.0809 1
Nb1 0.2500 0.0553 0.7603 1
Nb2 0.2500 0.7500 0.4801 1
O1 0.2500 0.2500 0.5809 1
O2 0.2500 0.2500 0.8574 1
O3 0.2500 0.5833 0.8893 1
O4 0.2500 0.5885 0.2960 1
O5 0.2500 0.5911 0.5979 1
```

***

# 6
Diffraction record for Na2InAu2O3. The XRD peak list is theoretical, not measured: it uses a GGA-PBE-relaxed structure and Cu Kα (λ = 1.5418 Å).
Neutral-atom scattering factors, no anomalous dispersion.

Main lines, by angle (15° ≤ 2θ ≤ 90°):
- 2θ 15.9, intensity 100, hkl 2 0 0
- 2θ 16.3, intensity 81, hkl 2 0 -1
- 2θ 22.9, intensity 56, hkl 2 0 1
- 2θ 29.4, intensity 48, hkl 1 1 -1
- 2θ 35.5, intensity 90, hkl 3 1 -1
- 2θ 38.0, intensity 34, hkl 4 0 1
- 2θ 38.9, intensity 99, hkl 1 1 2
- 2θ 48.3, intensity 42, hkl 5 1 -2

Structural model:
```
data_Na2InAu2O3
_cell_length_a 11.8569
_cell_length_b 3.3319
_cell_length_c 7.9114
_cell_angle_alpha 90.00
_cell_angle_beta 109.61
_cell_angle_gamma 90.00
_symmetry_space_group_name_H-M 'C 1 m 1'
_symmetry_Int_Tables_number 8
loop_
_symmetry_equiv_pos_as_xyz
'x,y,z'
'x,-y,z'
'x+1/2,y+1/2,z'
'x+1/2,-y+1/2,z'
loop_
_atom_site_label
_atom_site_fract_x
_atom_site_fract_y
_atom_site_fract_z
_atom_site_occupancy
Na1 0.0000 0.0000 0.0000 1
Na2 0.2056 0.0000 0.8312 1
In1 0.4831 0.0000 0.5812 1
Au1 0.2782 0.5000 0.4590 1
Au2 0.3356 0.0000 0.2297 1
O1 0.0379 0.5000 0.8488 1
O2 0.1613 0.5000 0.5959 1
O3 0.3282 0.5000 0.0569 1
```

***

# 7
Diffraction record for NbCuAg2. The XRD peak list is theoretical, not measured: it uses a GGA-PBE-relaxed structure and Cu Kα (λ = 1.5418 Å).
Neutral-atom scattering factors, no anomalous dispersion.

Main lines, by angle (15° ≤ 2θ ≤ 90°):
- 2θ 24.1, intensity 4, hkl 1 1 1
- 2θ 27.9, intensity 1, hkl 2 0 0
- 2θ 39.9, intensity 100, hkl 2 2 0
- 2θ 47.2, intensity 2, hkl 3 1 1
- 2θ 57.7, intensity 16, hkl 4 0 0
- 2θ 63.4, intensity 1, hkl 3 3 1
- 2θ 72.4, intensity 32, hkl 4 2 2
- 2θ 86.1, intensity 10, hkl 4 4 0

Structural model:
```
data_NbCuAg2
_cell_length_a 6.3914
_cell_length_b 6.3914
_cell_length_c 6.3914
_cell_angle_alpha 90.00
_cell_angle_beta 90.00
_cell_angle_gamma 90.00
_symmetry_space_group_name_H-M 'F -4 3 m'
_symmetry_Int_Tables_number 216
_symmetry_space_group_name_Hall 'F -4 2 3'
loop_
_atom_site_label
_atom_site_fract_x
_atom_site_fract_y
_atom_site_fract_z
_atom_site_occupancy
Nb1 0.0000 0.0000 0.0000 1
Cu1 0.2500 0.2500 0.2500 1
Ag1 0.0000 0.0000 0.5000 1
Ag2 0.2500 0.2500 0.7500 1
```

***

# 8
Diffraction record for Li4MgTl2Pd. The XRD peak list is theoretical, not measured: it uses a GGA-PBE-relaxed structure and Cu Kα (λ = 1.5418 Å).
Neutral-atom scattering factors, no anomalous dispersion.

Main lines, by angle (15° ≤ 2θ ≤ 90°):
- 2θ 23.2, intensity 100, hkl 1 0 1
- 2θ 27.2, intensity 14, hkl 1 1 0
- 2θ 38.2, intensity 51, hkl 1 1 2
- 2θ 38.9, intensity 25, hkl 2 0 0
- 2θ 44.5, intensity 18, hkl 1 0 3
- 2θ 45.8, intensity 34, hkl 2 1 1
- 2θ 60.6, intensity 14, hkl 2 1 3
- 2θ 69.9, intensity 17, hkl 3 1 2

Structural model:
```
data_Li4MgTl2Pd
_cell_length_a 4.6344
_cell_length_b 4.6344
_cell_length_c 6.7923
_cell_angle_alpha 90.00
_cell_angle_beta 90.00
_cell_angle_gamma 90.00
_symmetry_space_group_name_H-M 'P -4 m 2'
_symmetry_Int_Tables_number 115
loop_
_symmetry_equiv_pos_as_xyz
'x,y,z'
'y,-x,-z'
'-x,-y,z'
'-y,x,-z'
'-x,y,z'
'-y,-x,-z'
'x,-y,z'
'y,x,-z'
loop_
_atom_site_label
_atom_site_fract_x
_atom_site_fract_y
_atom_site_fract_z
_atom_site_occupancy
Li1 0.0000 0.0000 0.0000 1
Li2 0.0000 0.5000 0.7167 1
Li3 0.5000 0.5000 0.5000 1
Mg1 0.5000 0.5000 0.0000 1
Tl1 0.0000 0.5000 0.2621 1
Pd1 0.0000 0.0000 0.5000 1
```

***

# 9
Diffraction record for TbScTlTe3. The XRD peak list is theoretical, not measured: it uses a GGA-PBE-relaxed structure and Cu Kα (λ = 1.5418 Å).
Neutral-atom scattering factors, no anomalous dispersion.

Main lines, by angle (15° ≤ 2θ ≤ 90°):
- 2θ 26.7, intensity 58, hkl 1 3 0
- 2θ 27.8, intensity 100, hkl 1 3 1
- 2θ 30.3, intensity 55, hkl 0 0 4
- 2θ 30.8, intensity 55, hkl 1 3 2
- 2θ 31.1, intensity 38, hkl 1 1 3
- 2θ 38.2, intensity 50, hkl 0 6 2
- 2θ 41.2, intensity 35, hkl 2 0 0
- 2θ 47.2, intensity 40, hkl 1 3 5

Structural model:
```
data_TbScTlTe3
_cell_length_a 4.3865
_cell_length_b 15.4072
_cell_length_c 11.7877
_cell_angle_alpha 90.00
_cell_angle_beta 90.00
_cell_angle_gamma 90.00
_symmetry_space_group_name_H-M 'C m c m'
_symmetry_Int_Tables_number 63
_symmetry_space_group_name_Hall '-C 2c 2'
loop_
_atom_site_label
_atom_site_fract_x
_atom_site_fract_y
_atom_site_fract_z
_atom_site_occupancy
Tb1 0.0000 0.0000 0.0000 1
Sc1 0.0000 0.4475 0.2500 1
Tl1 0.0000 0.2508 0.7500 1
Te1 0.0000 0.0652 0.2500 1
Te2 0.0000 0.3594 0.0433 1
```

***

# 10
Diffraction record for NaSm3Zr6. The XRD peak list is theoretical, not measured: it uses a GGA-PBE-relaxed structure and Cu Kα (λ = 1.5418 Å).
Neutral-atom scattering factors, no anomalous dispersion.

Main lines, by angle (15° ≤ 2θ ≤ 90°):
- 2θ 24.3, intensity 100, hkl 2 0 0
- 2θ 28.3, intensity 42, hkl 2 1 1
- 2θ 30.7, intensity 51, hkl 0 0 4
- 2θ 35.9, intensity 34, hkl 2 1 3
- 2θ 38.0, intensity 28, hkl 2 2 2
- 2θ 39.6, intensity 53, hkl 2 0 4
- 2θ 42.0, intensity 25, hkl 3 1 2
- 2θ 59.6, intensity 23, hkl 4 0 4

Structural model:
```
data_NaSm3Zr6
_cell_length_a 7.3314
_cell_length_b 7.3314
_cell_length_c 11.6306
_cell_angle_alpha 90.00
_cell_angle_beta 90.00
_cell_angle_gamma 90.00
_symmetry_space_group_name_H-M 'I 4/m m m'
_symmetry_Int_Tables_number 139
_symmetry_space_group_name_Hall '-I 4 2'
loop_
_atom_site_label
_atom_site_fract_x
_atom_site_fract_y
_atom_site_fract_z
_atom_site_occupancy
Na1 0.0000 0.0000 0.0000 1
Sm1 0.0000 0.0000 0.5000 1
Sm2 0.0000 0.5000 0.2500 1
Zr1 0.0000 0.0000 0.2352 1
Zr2 0.0000 0.3313 0.0000 1
```

***

# 11
Diffraction record for CsNdSm. The XRD peak list is theoretical, not measured: it uses a GGA-PBE-relaxed structure and Cu Kα (λ = 1.5418 Å).
Neutral-atom scattering factors, no anomalous dispersion.

Main lines, by angle (15° ≤ 2θ ≤ 90°):
- 2θ 17.7, intensity 28, hkl 1 1 1
- 2θ 29.1, intensity 100, hkl 2 2 0
- 2θ 34.2, intensity 16, hkl 3 1 1
- 2θ 41.6, intensity 19, hkl 4 0 0
- 2θ 51.5, intensity 40, hkl 4 2 2
- 2θ 60.2, intensity 13, hkl 4 4 0
- 2θ 68.2, intensity 17, hkl 6 2 0
- 2θ 83.2, intensity 20, hkl 6 4 2

Structural model:
```
data_CsNdSm
_cell_length_a 8.6932
_cell_length_b 8.6932
_cell_length_c 8.6932
_cell_angle_alpha 90.00
_cell_angle_beta 90.00
_cell_angle_gamma 90.00
_symmetry_space_group_name_H-M 'F -4 3 m'
_symmetry_Int_Tables_number 216
_symmetry_space_group_name_Hall 'F -4 2 3'
loop_
_atom_site_label
_atom_site_fract_x
_atom_site_fract_y
_atom_site_fract_z
_atom_site_occupancy
Cs1 0.0000 0.0000 0.0000 1
Nd1 0.0000 0.0000 0.5000 1
Sm1 0.2500 0.2500 0.2500 1
```